Entry 1:
Theoretical X-ray powder pattern
Compound: CeSiAs3
Radiation: Cu Kα, 1.54184 Å
Structure: DFT lattice parameters and positions (PBE)
Lines closer than 0.1° are merged.

Crystal structure
a = 5.991 Å, b = 25.814 Å, c = 5.908 Å
α = 90.00°, β = 90.00°, γ = 90.00°
Sites, in units of the cell vectors:
1 Ce 0.013 0.085 0.000
2 Ce 0.017 0.410 0.500
3 Ce 0.483 0.910 0.000
4 Ce 0.487 0.585 0.500
5 Ce 0.513 0.415 0.000
6 Ce 0.517 0.090 0.500
7 Ce 0.983 0.590 0.000
8 Ce 0.987 0.915 0.500
9 Si 0.058 0.796 0.084
10 Si 0.114 0.294 0.081
11 Si 0.386 0.794 0.581
12 Si 0.442 0.296 0.584
13 Si 0.558 0.704 0.084
14 Si 0.614 0.206 0.081
15 Si 0.886 0.706 0.581
16 Si 0.942 0.204 0.584
17 As 0.004 0.793 0.484
18 As 0.011 0.380 0.996
19 As 0.025 0.117 0.496
20 As 0.063 0.289 0.482
21 As 0.227 0.501 0.247
22 As 0.229 0.501 0.763
23 As 0.271 0.001 0.263
24 As 0.273 0.001 0.747
25 As 0.437 0.789 0.982
26 As 0.475 0.617 0.996
27 As 0.489 0.880 0.496
28 As 0.496 0.293 0.984
29 As 0.504 0.707 0.484
30 As 0.511 0.120 0.996
31 As 0.525 0.383 0.496
32 As 0.563 0.211 0.482
33 As 0.727 0.999 0.247
34 As 0.729 0.999 0.763
35 As 0.771 0.499 0.263
36 As 0.773 0.499 0.747
37 As 0.937 0.711 0.982
38 As 0.975 0.883 0.996
39 As 0.989 0.620 0.496
40 As 0.996 0.207 0.984

The 6 most intense peaks (10 to 90 degrees two-theta), low angle first:
2θ/deg  I/Imax
34.75  64
35.05  68
36.55  64
36.91  66
43.00  100
56.42  63

Entry 2:
Theoretical X-ray powder pattern
Compound: Cs3As2Cl9
Radiation: Cu Kα, 1.54184 Å
Structure: DFT lattice parameters and positions (PBE)
Lines closer than 0.1° are merged.

Crystal structure
a = 7.606 Å, b = 7.606 Å, c = 9.219 Å
α = 90.00°, β = 90.00°, γ = 120.00°
Sites, in units of the cell vectors:
1 Cs 0.000 0.000 0.000
2 Cs 0.333 0.667 0.320
3 Cs 0.667 0.333 0.680
4 As 0.333 0.667 0.820
5 As 0.667 0.333 0.180
6 Cl 0.000 0.500 0.000
7 Cl 0.184 0.368 0.679
8 Cl 0.184 0.816 0.679
9 Cl 0.368 0.184 0.321
10 Cl 0.500 0.000 0.000
11 Cl 0.500 0.500 0.000
12 Cl 0.632 0.816 0.679
13 Cl 0.816 0.184 0.321
14 Cl 0.816 0.632 0.321

The 6 most intense peaks (10 to 90 degrees two-theta), low angle first:
2θ/deg  I/Imax
23.39  67
23.56  64
28.78  64
33.44  100
47.83  33
48.19  34

Entry 3:
Theoretical X-ray powder pattern
Compound: Cs3As2Cl9
Radiation: Cu Kα, 1.54184 Å
Structure: DFT lattice parameters and positions (PBE)
Lines closer than 0.1° are merged.

Crystal structure
a = 7.568 Å, b = 7.568 Å, c = 9.139 Å
α = 90.00°, β = 90.00°, γ = 120.00°
Sites, in units of the cell vectors:
1 Cs 0.000 0.000 0.000
2 Cs 0.333 0.667 0.320
3 Cs 0.667 0.333 0.680
4 As 0.333 0.667 0.817
5 As 0.667 0.333 0.183
6 Cl 0.000 0.484 0.000
7 Cl 0.173 0.805 0.676
8 Cl 0.195 0.368 0.676
9 Cl 0.368 0.195 0.324
10 Cl 0.484 0.000 0.000
11 Cl 0.516 0.516 0.000
12 Cl 0.632 0.827 0.676
13 Cl 0.805 0.173 0.324
14 Cl 0.827 0.632 0.324

The 6 most intense peaks (10 to 90 degrees two-theta), low angle first:
2θ/deg  I/Imax
23.51  68
23.74  63
28.95  65
33.66  100
48.09  33
48.58  34

Entry 4:
Theoretical X-ray powder pattern
Compound: Cs2CuAsCl6
Radiation: Cu Kα, 1.54184 Å
Structure: DFT lattice parameters and positions (PBE)
Lines closer than 0.1° are merged.

Crystal structure
a = 7.253 Å, b = 7.253 Å, c = 7.253 Å
α = 60.00°, β = 60.00°, γ = 60.00°
Sites, in units of the cell vectors:
1 Cs 0.250 0.250 0.250
2 Cs 0.750 0.750 0.750
3 Cu 0.000 0.000 0.000
4 As 0.500 0.500 0.500
5 Cl 0.250 0.250 0.750
6 Cl 0.250 0.750 0.250
7 Cl 0.250 0.750 0.750
8 Cl 0.750 0.250 0.250
9 Cl 0.750 0.250 0.750
10 Cl 0.750 0.750 0.250

The 6 most intense peaks (10 to 90 degrees two-theta), low angle first:
2θ/deg  I/Imax
24.55  100
30.18  39
34.99  69
43.21  45
50.32  46
68.45  23

Entry 5:
Theoretical X-ray powder pattern
Compound: Cs2HgAsCl6
Radiation: Cu Kα, 1.54184 Å
Structure: DFT lattice parameters and positions (PBE)
Lines closer than 0.1° are merged.

Crystal structure
a = 7.673 Å, b = 7.673 Å, c = 7.673 Å
α = 60.00°, β = 60.00°, γ = 60.00°
Sites, in units of the cell vectors:
1 Cs 0.250 0.250 0.250
2 Cs 0.750 0.750 0.750
3 Hg 0.000 0.000 0.000
4 As 0.500 0.500 0.500
5 Cl 0.268 0.268 0.732
6 Cl 0.268 0.732 0.268
7 Cl 0.268 0.732 0.732
8 Cl 0.732 0.268 0.268
9 Cl 0.732 0.268 0.732
10 Cl 0.732 0.732 0.268

The 6 most intense peaks (10 to 90 degrees two-theta), low angle first:
2θ/deg  I/Imax
23.18  100
33.02  52
40.73  46
47.39  36
53.40  23
64.23  26

Entry 6:
Theoretical X-ray powder pattern
Compound: Cs2InAsCl6
Radiation: Cu Kα, 1.54184 Å
Structure: DFT lattice parameters and positions (PBE)
Lines closer than 0.1° are merged.

Crystal structure
a = 7.793 Å, b = 7.793 Å, c = 7.793 Å
α = 60.00°, β = 60.00°, γ = 60.00°
Sites, in units of the cell vectors:
1 Cs 0.250 0.250 0.250
2 Cs 0.750 0.750 0.750
3 In 0.000 0.000 0.000
4 As 0.500 0.500 0.500
5 Cl 0.270 0.270 0.730
6 Cl 0.270 0.730 0.270
7 Cl 0.270 0.730 0.730
8 Cl 0.730 0.270 0.270
9 Cl 0.730 0.270 0.730
10 Cl 0.730 0.730 0.270

The 6 most intense peaks (10 to 90 degrees two-theta), low angle first:
2θ/deg  I/Imax
22.82  100
32.50  60
40.08  44
46.62  40
52.51  23
63.13  26

Entry 7:
Theoretical X-ray powder pattern
Compound: CsK2AsCl6
Radiation: Cu Kα, 1.54184 Å
Structure: DFT lattice parameters and positions (PBE)
Lines closer than 0.1° are merged.

Crystal structure
a = 8.102 Å, b = 8.102 Å, c = 8.102 Å
α = 60.00°, β = 60.00°, γ = 60.00°
Sites, in units of the cell vectors:
1 Cs 0.000 0.000 0.000
2 K 0.250 0.250 0.250
3 K 0.750 0.750 0.750
4 As 0.500 0.500 0.500
5 Cl 0.281 0.281 0.719
6 Cl 0.281 0.719 0.281
7 Cl 0.281 0.719 0.719
8 Cl 0.719 0.281 0.281
9 Cl 0.719 0.281 0.719
10 Cl 0.719 0.719 0.281

The 6 most intense peaks (10 to 90 degrees two-theta), low angle first:
2θ/deg  I/Imax
15.47  93
21.94  100
31.23  94
35.02  38
38.49  38
44.75  58

Entry 8:
Theoretical X-ray powder pattern
Compound: Cs2KAsCl6
Radiation: Cu Kα, 1.54184 Å
Structure: DFT lattice parameters and positions (PBE)
Lines closer than 0.1° are merged.

Crystal structure
a = 7.843 Å, b = 7.843 Å, c = 7.843 Å
α = 60.00°, β = 60.00°, γ = 60.00°
Sites, in units of the cell vectors:
1 Cs 0.250 0.250 0.250
2 Cs 0.750 0.750 0.750
3 K 0.000 0.000 0.000
4 As 0.500 0.500 0.500
5 Cl 0.273 0.273 0.727
6 Cl 0.273 0.727 0.273
7 Cl 0.273 0.727 0.727
8 Cl 0.727 0.273 0.273
9 Cl 0.727 0.273 0.727
10 Cl 0.727 0.727 0.273

The 6 most intense peaks (10 to 90 degrees two-theta), low angle first:
2θ/deg  I/Imax
22.67  100
27.86  52
32.28  72
39.81  43
46.30  47
62.68  26

Entry 9:
Theoretical X-ray powder pattern
Compound: La5Cu4As4Cl2O4
Radiation: Cu Kα, 1.54184 Å
Structure: DFT lattice parameters and positions (PBE)
Lines closer than 0.1° are merged.

Crystal structure
a = 21.208 Å, b = 21.208 Å, c = 21.208 Å
α = 168.82°, β = 168.82°, γ = 15.84°
Sites, in units of the cell vectors:
1 La 0.000 0.000 0.000
2 La 0.196 0.196 0.000
3 La 0.361 0.361 0.000
4 La 0.639 0.639 0.000
5 La 0.804 0.804 0.000
6 Cu 0.065 0.565 0.500
7 Cu 0.435 0.935 0.500
8 Cu 0.565 0.065 0.500
9 Cu 0.935 0.435 0.500
10 As 0.096 0.096 0.000
11 As 0.470 0.470 0.000
12 As 0.530 0.530 0.000
13 As 0.904 0.904 0.000
14 Cl 0.272 0.272 0.000
15 Cl 0.728 0.728 0.000
16 O 0.167 0.667 0.500
17 O 0.333 0.833 0.500
18 O 0.667 0.167 0.500
19 O 0.833 0.333 0.500

The 6 most intense peaks (10 to 90 degrees two-theta), low angle first:
2θ/deg  I/Imax
26.19  31
30.60  39
31.91  100
35.15  23
43.82  55
55.22  41

Entry 10:
Theoretical X-ray powder pattern
Compound: MgCu4As2Cl2O8
Radiation: Cu Kα, 1.54184 Å
Structure: DFT lattice parameters and positions (PBE)
Lines closer than 0.1° are merged.

Crystal structure
a = 4.841 Å, b = 6.650 Å, c = 7.356 Å
α = 93.46°, β = 93.81°, γ = 91.48°
Sites, in units of the cell vectors:
1 Mg 0.000 0.000 0.000
2 Cu 0.000 0.500 0.000
3 Cu 0.000 0.500 0.500
4 Cu 0.370 0.783 0.288
5 Cu 0.630 0.217 0.712
6 As 0.470 0.723 0.770
7 As 0.530 0.277 0.230
8 Cl 0.155 0.213 0.737
9 Cl 0.845 0.787 0.263
10 O 0.215 0.742 0.926
11 O 0.302 0.693 0.555
12 O 0.311 0.477 0.197
13 O 0.321 0.063 0.200
14 O 0.679 0.937 0.800
15 O 0.689 0.523 0.803
16 O 0.698 0.307 0.445
17 O 0.785 0.258 0.074

The 6 most intense peaks (10 to 90 degrees two-theta), low angle first:
2θ/deg  I/Imax
22.45  67
29.59  100
31.65  95
32.28  83
35.35  91
40.13  63

Entry 11:
Theoretical X-ray powder pattern
Compound: CuAs2Pb6Cl7O6
Radiation: Cu Kα, 1.54184 Å
Structure: DFT lattice parameters and positions (PBE)
Lines closer than 0.1° are merged.

Crystal structure
a = 8.208 Å, b = 8.208 Å, c = 8.208 Å
α = 75.59°, β = 75.59°, γ = 75.59°
Sites, in units of the cell vectors:
1 Cu 0.000 0.000 0.000
2 As 0.137 0.137 0.137
3 As 0.611 0.611 0.611
4 Pb 0.001 0.536 0.250
5 Pb 0.203 0.498 0.735
6 Pb 0.250 0.001 0.536
7 Pb 0.498 0.735 0.203
8 Pb 0.536 0.250 0.001
9 Pb 0.735 0.203 0.498
10 Cl 0.006 0.826 0.532
11 Cl 0.202 0.759 0.924
12 Cl 0.374 0.374 0.374
13 Cl 0.532 0.006 0.826
14 Cl 0.759 0.924 0.202
15 Cl 0.826 0.532 0.006
16 Cl 0.924 0.202 0.759
17 O 0.015 0.233 0.317
18 O 0.233 0.317 0.015
19 O 0.317 0.015 0.233
20 O 0.434 0.730 0.504
21 O 0.504 0.434 0.730
22 O 0.730 0.504 0.434

The 6 most intense peaks (10 to 90 degrees two-theta), low angle first:
2θ/deg  I/Imax
23.41  100
27.57  30
28.99  91
30.80  52
35.74  43
46.63  46